Starting from a PBE-relaxed structure, the X-ray powder pattern of Li4Al3Ge3BrO12 was computed for Cu Kα (weighted mean of Kα1 and Kα2).
Lines closer than 0.1° are merged.

Peak list (10 most intense, 2θ = 15–90°, most intense first)
2θ = 24.9°, d 3.581, rel. 1000, hkl 2 1 1; 2θ = 38.4°, d 2.344, rel. 417, hkl 3 2 1; 2θ = 20.2°, d 4.386, rel. 281, hkl 2 0 0; 2θ = 22.7°, d 3.923, rel. 256, hkl 2 1 0; 2θ = 59.6°, d 1.551, rel. 250, hkl 4 4 0; 2θ = 35.5°, d 2.532, rel. 243, hkl 2 2 2; 2θ = 65.6°, d 1.423, rel. 154, hkl 5 3 2; 2θ = 46.3°, d 1.961, rel. 139, hkl 4 2 0; 2θ = 48.7°, d 1.870, rel. 138, hkl 3 3 2; 2θ = 57.6°, d 1.601, rel. 118, hkl 5 2 1

Crystal structure
```
data_Li4Al3Ge3BrO12
_symmetry_space_group_name_H-M 'P -4 3 n'
_symmetry_Int_Tables_number 218
_symmetry_space_group_name_Hall 'P -4n 2 3'
_cell_length_a 8.7713
_cell_length_b 8.7713
_cell_length_c 8.7713
_cell_angle_alpha 90.00
_cell_angle_beta 90.00
_cell_angle_gamma 90.00
loop_
_atom_site_label
_atom_site_type_symbol
_atom_site_fract_x
_atom_site_fract_y
_atom_site_fract_z
Li1 Li 0.1806 0.1806 0.1806
Al1 Al 0.0000 0.2500 0.5000
Ge1 Ge 0.0000 0.5000 0.2500
Br1 Br 0.0000 0.0000 0.0000
O1 O 0.0952 0.3611 0.6391
```

---

Starting from a PBE-relaxed structure, the X-ray powder pattern of GdO2 was computed for Cu Kα (weighted mean of Kα1 and Kα2).
Lines closer than 0.1° are merged.

Peak list (10 most intense, 2θ = 15–90°, most intense first)
2θ = 29.9°, d 2.991, rel. 1000, hkl 1 0 1; 2θ = 47.4°, d 1.919, rel. 401, hkl 1 1 2; 2θ = 37.7°, d 2.385, rel. 325, hkl 1 1 0; 2θ = 50.2°, d 1.816, rel. 285, hkl 1 0 3; 2θ = 27.6°, d 3.233, rel. 284, hkl 0 0 2; 2θ = 63.3°, d 1.469, rel. 249, hkl 2 1 1; 2θ = 54.4°, d 1.687, rel. 158, hkl 2 0 0; 2θ = 77.2°, d 1.236, rel. 157, hkl 2 1 3; 2θ = 62.1°, d 1.495, rel. 124, hkl 2 0 2; 2θ = 79.4°, d 1.207, rel. 63, hkl 1 0 5

Crystal structure
```
data_GdO2
_symmetry_space_group_name_H-M 'P 4/n m m'
_symmetry_Int_Tables_number 129
_cell_length_a 3.3734
_cell_length_b 3.3734
_cell_length_c 6.4654
_cell_angle_alpha 90.00
_cell_angle_beta 90.00
_cell_angle_gamma 90.00
loop_
_symmetry_equiv_pos_as_xyz
'x,y,z'
'-x,-y,-z'
'-y+1/2,x,z'
'y+1/2,-x,-z'
'-x+1/2,-y+1/2,z'
'x+1/2,y+1/2,-z'
'y,-x+1/2,z'
'-y,x+1/2,-z'
'x+1/2,-y,-z'
'-x+1/2,y,z'
'-y,-x,-z'
'y,x,z'
'-x,y+1/2,-z'
'x,-y+1/2,z'
'y+1/2,x+1/2,-z'
'-y+1/2,-x+1/2,z'
loop_
_atom_site_label
_atom_site_type_symbol
_atom_site_fract_x
_atom_site_fract_y
_atom_site_fract_z
Gd1 Gd 0.2500 0.2500 0.2321
O1 O 0.2500 0.2500 0.8646
O2 O 0.2500 0.7500 0.5000
```

---

Starting from a PBE-relaxed structure, the X-ray powder pattern of NaAcTl2 was computed for Cu Kα (weighted mean of Kα1 and Kα2).
Lines closer than 0.1° are merged.

Peak list (10 most intense, 2θ = 15–90°, most intense first)
2θ = 31.6°, d 2.832, rel. 1000, hkl 2 2 0; 2θ = 56.3°, d 1.635, rel. 400, hkl 4 2 2; 2θ = 19.2°, d 4.625, rel. 204, hkl 1 1 1; 2θ = 45.3°, d 2.003, rel. 188, hkl 4 0 0; 2θ = 75.0°, d 1.267, rel. 173, hkl 6 2 0; 2θ = 66.0°, d 1.416, rel. 125, hkl 4 4 0; 2θ = 37.2°, d 2.415, rel. 120, hkl 3 1 1; 2θ = 22.2°, d 4.005, rel. 68, hkl 2 0 0; 2θ = 49.6°, d 1.838, rel. 55, hkl 3 3 1; 2θ = 83.6°, d 1.156, rel. 44, hkl 4 4 4

Crystal structure
```
data_NaAcTl2
_symmetry_space_group_name_H-M 'F m -3 m'
_symmetry_Int_Tables_number 225
_symmetry_space_group_name_Hall '-F 4 2 3'
_cell_length_a 8.0110
_cell_length_b 8.0110
_cell_length_c 8.0110
_cell_angle_alpha 90.00
_cell_angle_beta 90.00
_cell_angle_gamma 90.00
loop_
_atom_site_label
_atom_site_type_symbol
_atom_site_fract_x
_atom_site_fract_y
_atom_site_fract_z
Na1 Na 0.0000 0.0000 0.0000
Ac1 Ac 0.0000 0.0000 0.5000
Tl1 Tl 0.2500 0.2500 0.2500
```

---

Starting from a PBE-relaxed structure, the X-ray powder pattern of Ba2MgCu2O4 was computed for Cu Kα (weighted mean of Kα1 and Kα2).
Lines closer than 0.1° are merged.

Peak list (10 most intense, 2θ = 15–90°, most intense first)
2θ = 32.7°, d 2.738, rel. 1000, hkl 1 1 -1; 2θ = 30.2°, d 2.964, rel. 574, hkl 3 1 0; 2θ = 28.4°, d 3.146, rel. 470, hkl 4 0 1; 2θ = 27.0°, d 3.304, rel. 322, hkl 4 0 -1; 2θ = 36.4°, d 2.466, rel. 297, hkl 5 1 0; 2θ = 50.4°, d 1.812, rel. 286, hkl 3 1 2; 2θ = 38.6°, d 2.334, rel. 252, hkl 0 0 2; 2θ = 33.0°, d 2.714, rel. 250, hkl 1 1 1; 2θ = 68.0°, d 1.379, rel. 173, hkl 11 1 1; 2θ = 40.5°, d 2.226, rel. 168, hkl 8 0 0

Crystal structure
```
data_Ba2MgCu2O4
_symmetry_space_group_name_H-M 'C 1 2/m 1'
_symmetry_Int_Tables_number 12
_symmetry_space_group_name_Hall '-C 2y'
_cell_length_a 17.8298
_cell_length_b 3.4189
_cell_length_c 4.6735
_cell_angle_alpha 90.00
_cell_angle_beta 92.81
_cell_angle_gamma 90.00
loop_
_atom_site_label
_atom_site_type_symbol
_atom_site_fract_x
_atom_site_fract_y
_atom_site_fract_z
Ba1 Ba 0.1726 0.0000 0.2291
Mg1 Mg 0.0000 0.0000 0.0000
Cu1 Cu 0.0757 0.5000 0.6684
O1 O 0.0393 0.5000 0.2436
O2 O 0.1814 0.5000 0.7511
```

---

Starting from a PBE-relaxed structure, the X-ray powder pattern of Lu2Ge3 was computed for Cu Kα (weighted mean of Kα1 and Kα2).
Lines closer than 0.1° are merged.

Peak list (10 most intense, 2θ = 15–90°, most intense first)
2θ = 35.5°, d 2.532, rel. 1000, hkl 2 1 1; 2θ = 41.5°, d 2.174, rel. 345, hkl 0 1 3; 2θ = 23.7°, d 3.753, rel. 264, hkl 0 1 1; 2θ = 55.9°, d 1.646, rel. 181, hkl 2 2 2; 2θ = 41.8°, d 2.163, rel. 170, hkl 0 2 0; 2θ = 23.6°, d 3.771, rel. 134, hkl 0 0 2; 2θ = 69.9°, d 1.345, rel. 124, hkl 4 1 3; 2θ = 55.6°, d 1.652, rel. 92, hkl 2 0 4; 2θ = 71.8°, d 1.315, rel. 85, hkl 2 1 5; 2θ = 71.9°, d 1.313, rel. 85, hkl 2 2 4

Crystal structure
```
data_Lu2Ge3
_symmetry_space_group_name_H-M 'A m m 2'
_symmetry_Int_Tables_number 38
_symmetry_space_group_name_Hall 'A 2 -2'
_cell_length_a 6.8488
_cell_length_b 4.3270
_cell_length_c 7.5421
_cell_angle_alpha 90.00
_cell_angle_beta 90.00
_cell_angle_gamma 90.00
loop_
_atom_site_label
_atom_site_type_symbol
_atom_site_fract_x
_atom_site_fract_y
_atom_site_fract_z
Lu1 Lu 0.2292 0.0000 0.0000
Ge1 Ge 0.0000 0.0000 0.3331
Ge2 Ge 0.5000 0.0000 0.3336
Ge3 Ge 0.5000 0.0000 0.6665
```

---

Starting from a PBE-relaxed structure, the X-ray powder pattern of Ca3Al2N4 was computed for Cu Kα (weighted mean of Kα1 and Kα2).
Lines closer than 0.1° are merged.

Peak list (10 most intense, 2θ = 15–90°, most intense first)
2θ = 32.1°, d 2.787, rel. 1000, hkl 2 2 1; 2θ = 31.4°, d 2.848, rel. 641, hkl 3 1 -1; 2θ = 34.9°, d 2.568, rel. 437, hkl 1 1 -2; 2θ = 44.4°, d 2.042, rel. 401, hkl 3 3 -1; 2θ = 44.0°, d 2.058, rel. 395, hkl 5 1 0; 2θ = 43.7°, d 2.072, rel. 354, hkl 0 4 0; 2θ = 47.0°, d 1.932, rel. 301, hkl 1 3 -2; 2θ = 37.2°, d 2.418, rel. 235, hkl 2 0 2; 2θ = 32.4°, d 2.767, rel. 232, hkl 0 0 2; 2θ = 48.3°, d 1.883, rel. 222, hkl 4 0 2

Crystal structure
```
data_Ca3Al2N4
_symmetry_space_group_name_H-M 'C 1 2/c 1'
_symmetry_Int_Tables_number 15
_symmetry_space_group_name_Hall '-C 2yc'
_cell_length_a 10.6309
_cell_length_b 8.2895
_cell_length_c 5.5371
_cell_angle_alpha 90.00
_cell_angle_beta 92.04
_cell_angle_gamma 90.00
loop_
_atom_site_label
_atom_site_type_symbol
_atom_site_fract_x
_atom_site_fract_y
_atom_site_fract_z
Ca1 Ca 0.0000 0.1007 0.2500
Ca2 Ca 0.1160 0.3624 0.5448
Al1 Al 0.2044 0.1189 0.9122
N1 N 0.1221 0.3195 0.0208
N2 N 0.1626 0.0737 0.5818
```

---

Starting from a PBE-relaxed structure, the X-ray powder pattern of Co2Ge was computed for Cu Kα (weighted mean of Kα1 and Kα2).
Lines closer than 0.1° are merged.

Peak list (10 most intense, 2θ = 15–90°, most intense first)
2θ = 44.5°, d 2.036, rel. 1000, hkl 0 1 3; 2θ = 44.7°, d 2.026, rel. 756, hkl 2 1 1; 2θ = 47.6°, d 1.911, rel. 530, hkl 0 2 0; 2θ = 42.9°, d 2.110, rel. 509, hkl 2 1 0; 2θ = 43.7°, d 2.072, rel. 277, hkl 2 0 2; 2θ = 48.2°, d 1.889, rel. 214, hkl 1 1 3; 2θ = 52.5°, d 1.744, rel. 212, hkl 2 0 3; 2θ = 73.5°, d 1.288, rel. 145, hkl 2 2 3; 2θ = 66.6°, d 1.405, rel. 143, hkl 2 2 2; 2θ = 86.4°, d 1.126, rel. 133, hkl 0 3 3

Crystal structure
```
data_Co2Ge
_symmetry_space_group_name_H-M 'P n m a'
_symmetry_Int_Tables_number 62
_symmetry_space_group_name_Hall '-P 2ac 2n'
_cell_length_a 5.0621
_cell_length_b 3.8226
_cell_length_c 7.2165
_cell_angle_alpha 90.00
_cell_angle_beta 90.00
_cell_angle_gamma 90.00
loop_
_atom_site_label
_atom_site_type_symbol
_atom_site_fract_x
_atom_site_fract_y
_atom_site_fract_z
Co1 Co 0.0379 0.2500 0.2188
Co2 Co 0.1745 0.2500 0.5612
Ge1 Ge 0.2066 0.2500 0.8908
```

---

Starting from a PBE-relaxed structure, the X-ray powder pattern of AlNi2 was computed for Cu Kα (weighted mean of Kα1 and Kα2).
Lines closer than 0.1° are merged.

Peak list (10 most intense, 2θ = 15–90°, most intense first)
2θ = 45.0°, d 2.015, rel. 1000, hkl 0 1 2; 2θ = 45.2°, d 2.007, rel. 958, hkl 1 1 0; 2θ = 65.7°, d 1.422, rel. 299, hkl 2 0 2; 2θ = 83.3°, d 1.160, rel. 294, hkl 1 2 2; 2θ = 31.5°, d 2.844, rel. 213, hkl 1 0 1; 2θ = 83.4°, d 1.159, rel. 143, hkl 3 0 0; 2θ = 82.9°, d 1.165, rel. 124, hkl 1 0 4; 2θ = 25.6°, d 3.476, rel. 67, hkl 1 0 0; 2θ = 56.1°, d 1.640, rel. 37, hkl 0 2 1; 2θ = 17.9°, d 4.947, rel. 33, hkl 0 0 1

Crystal structure
```
data_AlNi2
_symmetry_space_group_name_H-M 'P -3 m 1'
_symmetry_Int_Tables_number 164
_symmetry_space_group_name_Hall '-P 3 2"'
_cell_length_a 4.0134
_cell_length_b 4.0134
_cell_length_c 4.9466
_cell_angle_alpha 90.00
_cell_angle_beta 90.00
_cell_angle_gamma 120.00
loop_
_atom_site_label
_atom_site_type_symbol
_atom_site_fract_x
_atom_site_fract_y
_atom_site_fract_z
Al1 Al 0.3333 0.6667 0.1906
Ni1 Ni 0.0000 0.0000 0.0000
Ni2 Ni 0.0000 0.0000 0.5000
Ni3 Ni 0.3333 0.6667 0.6867
```

---

Starting from a PBE-relaxed structure, the X-ray powder pattern of NdSbO3 was computed for Cu Kα (weighted mean of Kα1 and Kα2).
Lines closer than 0.1° are merged.

Peak list (9 most intense, 2θ = 15–90°, most intense first)
2θ = 29.5°, d 3.028, rel. 1000, hkl 1 1 0; 2θ = 52.3°, d 1.748, rel. 410, hkl 2 1 1; 2θ = 42.2°, d 2.141, rel. 299, hkl 2 0 0; 2θ = 84.7°, d 1.144, rel. 212, hkl 3 2 1; 2θ = 61.2°, d 1.514, rel. 187, hkl 2 2 0; 2θ = 69.4°, d 1.354, rel. 177, hkl 3 1 0; 2θ = 77.2°, d 1.236, rel. 62, hkl 2 2 2; 2θ = 36.3°, d 2.472, rel. 33, hkl 1 1 1; 2θ = 73.3°, d 1.291, rel. 9, hkl 3 1 1

Crystal structure
```
data_NdSbO3
_symmetry_space_group_name_H-M 'P m -3 m'
_symmetry_Int_Tables_number 221
_symmetry_space_group_name_Hall '-P 4 2 3'
_cell_length_a 4.2816
_cell_length_b 4.2816
_cell_length_c 4.2816
_cell_angle_alpha 90.00
_cell_angle_beta 90.00
_cell_angle_gamma 90.00
loop_
_atom_site_label
_atom_site_type_symbol
_atom_site_fract_x
_atom_site_fract_y
_atom_site_fract_z
Nd1 Nd 0.0000 0.0000 0.0000
Sb1 Sb 0.5000 0.5000 0.5000
O1 O 0.0000 0.5000 0.5000
```

---

Starting from a PBE-relaxed structure, the X-ray powder pattern of Pr3AsS5Cl2 was computed for Cu Kα (weighted mean of Kα1 and Kα2).
Lines closer than 0.1° are merged.

Peak list (10 most intense, 2θ = 15–90°, most intense first)
2θ = 22.7°, d 3.911, rel. 1000, hkl 3 1 1; 2θ = 35.5°, d 2.526, rel. 707, hkl 6 2 0; 2θ = 20.5°, d 4.325, rel. 664, hkl 3 1 -1; 2θ = 31.9°, d 2.801, rel. 549, hkl 4 2 -1; 2θ = 25.4°, d 3.511, rel. 466, hkl 2 0 -2; 2θ = 36.3°, d 2.476, rel. 459, hkl 2 2 -2; 2θ = 24.3°, d 3.656, rel. 411, hkl 6 0 0; 2θ = 25.6°, d 3.477, rel. 381, hkl 5 1 -1; 2θ = 38.1°, d 2.361, rel. 329, hkl 6 0 2; 2θ = 43.1°, d 2.099, rel. 307, hkl 9 1 1

Crystal structure
```
data_Pr3AsS5Cl2
_symmetry_space_group_name_H-M 'C 1 c 1'
_symmetry_Int_Tables_number 9
_symmetry_space_group_name_Hall 'C -2yc'
_cell_length_a 22.1958
_cell_length_b 6.9889
_cell_length_c 7.1140
_cell_angle_alpha 90.00
_cell_angle_beta 98.82
_cell_angle_gamma 90.00
loop_
_atom_site_label
_atom_site_type_symbol
_atom_site_fract_x
_atom_site_fract_y
_atom_site_fract_z
Pr1 Pr 0.0000 0.2017 0.0000
Pr2 Pr 0.1532 0.2070 0.6527
Pr3 Pr 0.2999 0.2096 0.1364
As1 As 0.4540 0.1913 0.9445
S1 S 0.0309 0.4253 0.6694
S2 S 0.0732 0.0577 0.3309
S3 S 0.2294 0.0552 0.3974
S4 S 0.3863 0.0532 0.4739
S5 S 0.4187 0.4189 0.1341
Cl1 Cl 0.1607 0.3904 0.0194
Cl2 Cl 0.2849 0.3989 0.7711
```

---

Q: Which formula does entry 9 have?
A: NdSbO3